(1)
This entry pairs a crystal structure of Nd2Mn17C2 with its theoretical X-ray powder pattern. Radiation: Cu Ka. Structure: the GGA-PBE geometry in Alexandria.
Kinematic intensities with the Lorentz-polarization factor, no thermal factor.

Crystal structure
Cell lengths 6.492, 6.492, 6.475 Å; angles 96.14, 96.14, 84.33 degrees
Positions (direct):
Nd  0.143  0.143  0.344
Nd  0.857  0.857  0.656
Mn  0.000  0.500  0.000
Mn  0.155  0.155  0.872
Mn  0.165  0.633  0.337
Mn  0.218  0.493  0.720
Mn  0.231  0.769  0.000
Mn  0.367  0.835  0.663
Mn  0.404  0.404  0.094
Mn  0.493  0.218  0.720
Mn  0.500  0.000  0.000
Mn  0.500  0.500  0.500
Mn  0.507  0.782  0.280
Mn  0.596  0.596  0.906
Mn  0.633  0.165  0.337
Mn  0.769  0.231  0.000
Mn  0.782  0.507  0.280
Mn  0.835  0.367  0.663
Mn  0.845  0.845  0.128
C  0.000  0.500  0.500
C  0.500  0.000  0.500

Largest 10 diffraction maxima, low angle first, 2θ from 10° to 80°:
| two_theta | I_rel |
| --- | --- |
| 29.90 | 44 |
| 31.32 | 27 |
| 35.76 | 40 |
| 37.66 | 45 |
| 41.44 | 44 |
| 41.70 | 82 |
| 42.15 | 100 |
| 42.34 | 53 |
| 43.31 | 30 |
| 43.99 | 48 |

---

(2)
This entry pairs a crystal structure of NdMn12C6 with its theoretical X-ray powder pattern. Radiation: Cu Ka. Structure: the GGA-PBE geometry in Alexandria.
Kinematic intensities with the Lorentz-polarization factor, no thermal factor.

Crystal structure
Cell lengths 5.941, 5.941, 5.941 Å; angles 103.17, 103.17, 103.17 degrees
Positions (direct):
Nd  0.000  0.000  0.000
Mn  0.134  0.500  0.866
Mn  0.134  0.866  0.500
Mn  0.190  0.463  0.463
Mn  0.463  0.190  0.463
Mn  0.463  0.463  0.190
Mn  0.500  0.134  0.866
Mn  0.500  0.866  0.134
Mn  0.537  0.537  0.810
Mn  0.537  0.810  0.537
Mn  0.810  0.537  0.537
Mn  0.866  0.134  0.500
Mn  0.866  0.500  0.134
C  0.227  0.227  0.666
C  0.227  0.666  0.227
C  0.334  0.773  0.773
C  0.666  0.227  0.227
C  0.773  0.334  0.773
C  0.773  0.773  0.334

Largest 10 diffraction maxima, low angle first, 2θ from 10° to 80°:
| two_theta | I_rel |
| --- | --- |
| 31.64 | 20 |
| 32.39 | 40 |
| 33.34 | 32 |
| 40.58 | 60 |
| 42.12 | 100 |
| 47.17 | 24 |
| 49.47 | 24 |
| 59.58 | 24 |
| 62.58 | 17 |
| 64.50 | 14 |

---

(3)
This entry pairs a crystal structure of Nd2Mn22C3 with its theoretical X-ray powder pattern. Radiation: Cu Ka. Structure: the GGA-PBE geometry in Alexandria.
Kinematic intensities with the Lorentz-polarization factor, no thermal factor.

Crystal structure
Cell lengths 7.831, 7.831, 6.562 Å; angles 114.56, 114.56, 79.19 degrees
Positions (direct):
Nd  0.250  0.250  0.133
Nd  0.750  0.750  0.867
Mn  0.000  0.000  0.500
Mn  0.000  0.500  0.500
Mn  0.083  0.824  0.758
Mn  0.092  0.668  0.323
Mn  0.176  0.580  0.933
Mn  0.176  0.917  0.242
Mn  0.249  0.249  0.635
Mn  0.330  0.574  0.645
Mn  0.332  0.908  0.677
Mn  0.420  0.824  0.067
Mn  0.426  0.670  0.355
Mn  0.500  0.000  0.500
Mn  0.500  0.500  0.000
Mn  0.574  0.330  0.645
Mn  0.580  0.176  0.933
Mn  0.668  0.092  0.323
Mn  0.670  0.426  0.355
Mn  0.751  0.751  0.365
Mn  0.824  0.083  0.758
Mn  0.824  0.420  0.067
Mn  0.908  0.332  0.677
Mn  0.917  0.176  0.242
C  0.000  0.000  0.000
C  0.000  0.500  0.000
C  0.500  0.000  0.000

Largest 10 diffraction maxima, low angle first, 2θ from 10° to 80°:
| two_theta | I_rel |
| --- | --- |
| 29.98 | 46 |
| 35.02 | 35 |
| 39.17 | 52 |
| 39.38 | 53 |
| 39.58 | 100 |
| 39.81 | 76 |
| 40.26 | 74 |
| 42.28 | 66 |
| 45.67 | 24 |
| 48.76 | 25 |

---

(4)
This entry pairs a crystal structure of TbNpMnC3 with its theoretical X-ray powder pattern. Radiation: Cu Ka. Structure: the GGA-PBE geometry in Alexandria.
Kinematic intensities with the Lorentz-polarization factor, no thermal factor.

Crystal structure
Cell lengths 7.136, 3.469, 7.281 Å; angles 90.00, 94.71, 90.00 degrees
Positions (direct):
Tb  0.154  0.250  0.180
Tb  0.846  0.750  0.820
Np  0.365  0.750  0.820
Np  0.635  0.250  0.180
Mn  0.092  0.250  0.588
Mn  0.908  0.750  0.412
C  0.131  0.250  0.841
C  0.160  0.750  0.515
C  0.415  0.750  0.128
C  0.585  0.250  0.872
C  0.840  0.250  0.485
C  0.869  0.750  0.159

Largest 10 diffraction maxima, low angle first, 2θ from 10° to 80°:
| two_theta | I_rel |
| --- | --- |
| 12.20 | 47 |
| 16.72 | 32 |
| 24.53 | 33 |
| 27.00 | 34 |
| 28.52 | 92 |
| 28.85 | 55 |
| 33.82 | 45 |
| 35.81 | 57 |
| 36.17 | 100 |
| 37.17 | 38 |

---

(5)
This entry pairs a crystal structure of ThNp2MnC4 with its theoretical X-ray powder pattern. Radiation: Cu Ka. Structure: the GGA-PBE geometry in Alexandria.
Kinematic intensities with the Lorentz-polarization factor, no thermal factor.

Crystal structure
Cell lengths 5.901, 5.901, 11.587 Å; angles 90.00, 90.00, 144.93 degrees
Positions (direct):
Th  0.105  0.895  0.750
Th  0.895  0.105  0.250
Np  0.370  0.630  0.547
Np  0.370  0.630  0.953
Np  0.630  0.370  0.047
Np  0.630  0.370  0.453
Mn  0.156  0.844  0.250
Mn  0.844  0.156  0.750
C  0.000  0.000  0.000
C  0.000  0.000  0.500
C  0.259  0.741  0.124
C  0.259  0.741  0.376
C  0.425  0.575  0.750
C  0.575  0.425  0.250
C  0.741  0.259  0.624
C  0.741  0.259  0.876

Largest 10 diffraction maxima, low angle first, 2θ from 10° to 80°:
| two_theta | I_rel |
| --- | --- |
| 28.02 | 79 |
| 30.55 | 100 |
| 30.87 | 25 |
| 31.80 | 49 |
| 35.64 | 31 |
| 38.18 | 55 |
| 47.53 | 29 |
| 50.51 | 24 |
| 53.12 | 26 |
| 59.55 | 21 |